NdP3O9: computed powder X-ray diffraction pattern (Cu Kα X-rays), based on a crystal structure in the Materials Project, relaxed with PBE.
No peak broadening, texture or thermal motion is included.

```
NdP3O9
1.0
4.315 -5.662 0.000
4.315 5.662 0.000
0.000 0.000 7.402
Nd P O
2 6 18
Direct
0.126 0.126 0.000
0.874 0.874 0.500
0.251 0.251 0.500
0.315 0.667 0.954
0.333 0.685 0.546
0.667 0.315 0.046
0.685 0.333 0.454
0.749 0.749 0.000
0.135 0.171 0.668
0.171 0.135 0.332
0.173 0.783 0.535
0.217 0.827 0.965
0.219 0.473 0.036
0.252 0.470 0.458
0.372 0.628 0.750
0.470 0.252 0.542
0.473 0.219 0.964
0.527 0.781 0.464
0.530 0.748 0.042
0.628 0.372 0.250
0.748 0.530 0.958
0.781 0.527 0.536
0.783 0.173 0.465
0.827 0.217 0.035
0.829 0.865 0.832
0.865 0.829 0.168
```

Principal peaks in the range 2θ from 15° to 90°, sorted by position:
| 2θ/deg | I (rel.) |
| --- | --- |
| 15.65 | 74 |
| 17.62 | 40 |
| 23.87 | 42 |
| 24.05 | 100 |
| 25.76 | 73 |
| 28.67 | 56 |
| 34.37 | 35 |
| 35.53 | 27 |